Theoretical X-ray diffraction stick pattern
Compound: SmPa3
Radiation: copper Kα
Structure: a DFT-relaxed cell (GGA-PBE, the Materials Project)
Kinematic intensities with the Lorentz-polarization factor, no thermal factor.

Atomic structure:
```
SmPa3
1.0
4.726 0.000 0.000
0.000 4.726 0.000
0.000 0.000 4.726
Sm Pa
1 3
direct
0.000 0.000 0.000
0.000 0.500 0.500
0.500 0.000 0.500
0.500 0.500 0.000
```

Top 10 peaks for 15 to 90 degrees two-theta, in order of rising 2θ:
2θ = 18.78°, I 2
2θ = 26.68°, I 2
2θ = 32.82°, I 100
2θ = 38.08°, I 51
2θ = 42.78°, I 1
2θ = 47.10°, I 1
2θ = 54.95°, I 36
2θ = 65.51°, I 43
2θ = 68.81°, I 12
2θ = 81.46°, I 6



Theoretical X-ray diffraction stick pattern
Compound: SrPa3
Radiation: copper Kα
Structure: a DFT-relaxed cell (GGA-PBE, the Materials Project)
Kinematic intensities with the Lorentz-polarization factor, no thermal factor.

Atomic structure:
```
SrPa3
1.0
-2.395 2.395 4.743
2.395 -2.395 4.743
2.395 2.395 -4.743
Sr Pa
1 3
direct
0.000 0.000 0.000
0.250 0.750 0.500
0.500 0.500 0.000
0.750 0.250 0.500
```

Top 10 peaks for 15 to 90 degrees two-theta, in order of rising 2θ:
2θ = 20.78°, I 9
2θ = 32.49°, I 100
2θ = 37.56°, I 34
2θ = 37.94°, I 17
2θ = 54.16°, I 12
2θ = 54.45°, I 24
2θ = 64.60°, I 29
2θ = 65.12°, I 14
2θ = 68.03°, I 12
2θ = 89.64°, I 13



Theoretical X-ray diffraction stick pattern
Compound: PaTa
Radiation: copper Kα
Structure: a DFT-relaxed cell (GGA-PBE, the Materials Project)
Kinematic intensities with the Lorentz-polarization factor, no thermal factor.

Atomic structure:
```
PaTa
1.0
3.074 0.000 0.000
-1.537 2.662 0.000
0.000 0.000 5.365
Pa Ta
1 1
direct
0.000 0.000 0.000
0.667 0.333 0.500
```

Top 10 peaks for 15 to 90 degrees two-theta, in order of rising 2θ:
2θ = 33.41°, I 31
2θ = 33.67°, I 23
2θ = 37.73°, I 100
2θ = 48.16°, I 18
2θ = 60.22°, I 17
2θ = 62.58°, I 23
2θ = 70.64°, I 22
2θ = 73.28°, I 15
2θ = 80.13°, I 4
2θ = 80.58°, I 4



Theoretical X-ray diffraction stick pattern
Compound: Pa3Ta
Radiation: copper Kα
Structure: a DFT-relaxed cell (GGA-PBE, the Materials Project)
Kinematic intensities with the Lorentz-polarization factor, no thermal factor.

Atomic structure:
```
Pa3Ta
1.0
6.260 0.000 0.000
-3.130 5.421 0.000
0.000 0.000 5.568
Pa Ta
6 2
direct
0.173 0.346 0.250
0.173 0.827 0.250
0.346 0.173 0.750
0.654 0.827 0.250
0.827 0.173 0.750
0.827 0.654 0.750
0.333 0.667 0.750
0.667 0.333 0.250
```

Top 10 peaks for 15 to 90 degrees two-theta, in order of rising 2θ:
2θ = 32.15°, I 32
2θ = 33.05°, I 22
2θ = 36.88°, I 100
2θ = 46.77°, I 17
2θ = 59.02°, I 17
2θ = 60.45°, I 25
2θ = 68.82°, I 22
2θ = 71.67°, I 15
2θ = 77.01°, I 4
2θ = 89.55°, I 9



Theoretical X-ray diffraction stick pattern
Compound: TbPa
Radiation: copper Kα
Structure: a DFT-relaxed cell (GGA-PBE, the Materials Project)
Kinematic intensities with the Lorentz-polarization factor, no thermal factor.

Atomic structure:
```
TbPa
1.0
3.296 0.000 0.000
-1.648 2.855 0.000
0.000 0.000 5.826
Tb Pa
1 1
direct
0.000 0.000 0.000
0.333 0.667 0.500
```

Top 10 peaks for 15 to 90 degrees two-theta, in order of rising 2θ:
2θ = 30.69°, I 31
2θ = 31.33°, I 24
2θ = 35.00°, I 100
2θ = 44.43°, I 19
2θ = 55.77°, I 18
2θ = 57.39°, I 25
2θ = 65.01°, I 22
2θ = 67.57°, I 15
2θ = 84.18°, I 9
2θ = 89.88°, I 10



Theoretical X-ray diffraction stick pattern
Compound: Pa3Tc
Radiation: copper Kα
Structure: a DFT-relaxed cell (GGA-PBE, the Materials Project)
Kinematic intensities with the Lorentz-polarization factor, no thermal factor.

Atomic structure:
```
Pa3Tc
1.0
0.000 3.531 3.531
3.531 0.000 3.531
3.531 3.531 0.000
Pa Tc
3 1
direct
0.000 0.000 0.000
0.250 0.250 0.250
0.750 0.750 0.750
0.500 0.500 0.500
```

Top 10 peaks for 15 to 90 degrees two-theta, in order of rising 2θ:
2θ = 21.80°, I 6
2θ = 25.22°, I 3
2θ = 35.97°, I 100
2θ = 42.45°, I 3
2θ = 51.78°, I 18
2θ = 56.83°, I 2
2θ = 58.45°, I 1
2θ = 64.66°, I 37
2θ = 76.27°, I 12
2θ = 87.33°, I 17